Simulated powder XRD pattern
Compound: TlSi2Sb
Radiation: λ = 1.5418 Å (Cu Kα)
Structure: a PBE-relaxed structure
No peak broadening, texture or thermal motion is included.

Main lines, low angle first (10 to 90 degrees two-theta):
hkl 0 0 1, 2θ = 10.54°, I = 442; hkl 1 1 1, 2θ = 29.32°, I = 1000; hkl 0 0 3, 2θ = 31.99°, I = 229; hkl 2 0 2, 2θ = 34.79°, I = 649; hkl 3 1 0, 2θ = 48.22°, I = 258; hkl 3 1 -3, 2θ = 59.04°, I = 239

```
data_TlSi2Sb
_chemical_formula_sum 'Tl2 Si4 Sb2'
_cell_length_a 6.540
_cell_length_b 3.773
_cell_length_c 8.393
_cell_angle_alpha 90.00
_cell_angle_beta 90.06
_cell_angle_gamma 90.00
_symmetry_space_group_name_H-M 'C 1 m 1'
_symmetry_Int_Tables_number 8
_symmetry_space_group_name_Hall 'C -2y'
loop_
_atom_site_label
_atom_site_fract_x
_atom_site_fract_y
_atom_site_fract_z
_atom_site_occupancy
Tl1 0.000 0.000 0.000 1
Si1 0.166 0.500 0.269 1
Si2 0.333 0.000 0.370 1
Sb1 0.334 0.000 0.683 1
```



Simulated powder XRD pattern
Compound: Hf6Sb2Mo
Radiation: λ = 1.5418 Å (Cu Kα)
Structure: a PBE-relaxed structure
No peak broadening, texture or thermal motion is included.

Main lines, low angle first (10 to 90 degrees two-theta):
hkl 1 3 1, 2θ = 33.55°, I = 1000; hkl 0 1 3, 2θ = 35.05°, I = 588; hkl 1 4 0, 2θ = 36.14°, I = 620; hkl 0 6 0, 2θ = 39.93°, I = 365; hkl 1 4 2, 2θ = 43.13°, I = 258; hkl 2 1 3, 2θ = 62.40°, I = 225

```
data_Hf6Sb2Mo
_chemical_formula_sum 'Hf12 Sb4 Mo2'
_cell_length_a 3.658
_cell_length_b 13.564
_cell_length_c 7.811
_cell_angle_alpha 90.00
_cell_angle_beta 90.00
_cell_angle_gamma 90.00
_symmetry_space_group_name_H-M 'A m m 2'
_symmetry_Int_Tables_number 38
_symmetry_space_group_name_Hall 'A 2 -2'
loop_
_atom_site_label
_atom_site_fract_x
_atom_site_fract_y
_atom_site_fract_z
_atom_site_occupancy
Hf1 0.000 0.000 0.000 1
Hf2 0.000 0.125 0.626 1
Hf3 0.500 0.000 0.354 1
Hf4 0.500 0.198 0.948 1
Sb1 0.000 0.166 0.250 1
Mo1 0.500 0.000 0.749 1
```



Simulated powder XRD pattern
Compound: HoGa4Ni2Os
Radiation: λ = 1.5418 Å (Cu Kα)
Structure: a PBE-relaxed structure
No peak broadening, texture or thermal motion is included.

Main lines, low angle first (10 to 90 degrees two-theta):
hkl 0 0 3, 2θ = 10.10°, I = 336; hkl 0 1 2, 2θ = 25.91°, I = 443; hkl 0 1 8, 2θ = 37.23°, I = 1000; hkl 1 0 10, 2θ = 42.76°, I = 269; hkl 1 1 0, 2θ = 44.01°, I = 966; hkl 2 0 8, 2θ = 58.98°, I = 258

```
data_HoGa4Ni2Os
_chemical_formula_sum 'Ho3 Ga12 Ni6 Os3'
_cell_length_a 4.1146
_cell_length_b 4.1146
_cell_length_c 26.2783
_cell_angle_alpha 90.00
_cell_angle_beta 90.00
_cell_angle_gamma 120.00
_symmetry_space_group_name_H-M 'R -3 m'
_symmetry_Int_Tables_number 166
_symmetry_space_group_name_Hall '-R 3 2"'
loop_
_atom_site_label
_atom_site_fract_x
_atom_site_fract_y
_atom_site_fract_z
_atom_site_occupancy
Ho1 0.0000 0.0000 0.0000 1
Ga1 0.0000 0.0000 0.1295 1
Ga2 0.0000 0.0000 0.4007 1
Ni1 0.0000 0.0000 0.2333 1
Os1 0.0000 0.0000 0.5000 1
```



Simulated powder XRD pattern
Compound: Dy3Cu2Pt6
Radiation: λ = 1.5418 Å (Cu Kα)
Structure: a PBE-relaxed structure
No peak broadening, texture or thermal motion is included.

Main lines, low angle first (10 to 90 degrees two-theta):
hkl 1 1 0, 2θ = 13.22°, I = 298; hkl 3 2 1, 2θ = 35.47°, I = 250; hkl 3 3 0, 2θ = 40.41°, I = 1000; hkl 6 0 0, 2θ = 58.47°, I = 133; hkl 5 3 2, 2θ = 60.24°, I = 125; hkl 6 3 3, 2θ = 73.48°, I = 311

```
data_Dy3Cu2Pt6
_chemical_formula_sum 'Dy12 Cu8 Pt24'
_cell_length_a 9.470
_cell_length_b 9.470
_cell_length_c 9.470
_cell_angle_alpha 90.00
_cell_angle_beta 90.00
_cell_angle_gamma 90.00
_symmetry_space_group_name_H-M 'I m -3 m'
_symmetry_Int_Tables_number 229
_symmetry_space_group_name_Hall '-I 4 2 3'
loop_
_atom_site_label
_atom_site_fract_x
_atom_site_fract_y
_atom_site_fract_z
_atom_site_occupancy
Dy1 0.000 0.000 0.301 1
Cu1 0.250 0.250 0.250 1
Pt1 0.000 0.332 0.332 1
```



Simulated powder XRD pattern
Compound: BaLaZrO4
Radiation: λ = 1.5418 Å (Cu Kα)
Structure: a PBE-relaxed structure
No peak broadening, texture or thermal motion is included.

Main lines, low angle first (10 to 90 degrees two-theta):
hkl 1 0 3, 2θ = 29.50°, I = 1000; hkl 1 1 0, 2θ = 30.02°, I = 646; hkl 2 0 0, 2θ = 42.97°, I = 330; hkl 1 1 6, 2θ = 52.00°, I = 189; hkl 2 1 3, 2θ = 52.98°, I = 396; hkl 2 0 6, 2θ = 61.22°, I = 155

```
data_BaLaZrO4
_chemical_formula_sum 'Ba2 La2 Zr2 O8'
_cell_length_a 4.210
_cell_length_b 4.210
_cell_length_c 13.076
_cell_angle_alpha 90.00
_cell_angle_beta 90.00
_cell_angle_gamma 90.00
_symmetry_space_group_name_H-M 'I 4 m m'
_symmetry_Int_Tables_number 107
_symmetry_space_group_name_Hall 'I 4 -2'
loop_
_atom_site_label
_atom_site_fract_x
_atom_site_fract_y
_atom_site_fract_z
_atom_site_occupancy
Ba1 0.000 0.000 0.000 1
La1 0.000 0.000 0.703 1
Zr1 0.000 0.000 0.350 1
O1 0.000 0.000 0.190 1
O2 0.000 0.000 0.523 1
O3 0.000 0.500 0.342 1
```



Simulated powder XRD pattern
Compound: MnMoPt14
Radiation: λ = 1.5418 Å (Cu Kα)
Structure: a PBE-relaxed structure
No peak broadening, texture or thermal motion is included.

Main lines, low angle first (10 to 90 degrees two-theta):
hkl 2 0 2, 2θ = 39.44°, I = 1000; hkl 2 2 0, 2θ = 45.71°, I = 332; hkl 0 0 4, 2θ = 46.16°, I = 159; hkl 2 2 4, 2θ = 66.99°, I = 211; hkl 4 2 2, 2θ = 80.28°, I = 261; hkl 2 0 6, 2θ = 80.94°, I = 124

```
data_MnMoPt14
_chemical_formula_sum 'Mn1 Mo1 Pt14'
_cell_length_a 5.614
_cell_length_b 5.614
_cell_length_c 7.866
_cell_angle_alpha 90.00
_cell_angle_beta 90.00
_cell_angle_gamma 90.00
_symmetry_space_group_name_H-M 'P 4/m m m'
_symmetry_Int_Tables_number 123
_symmetry_space_group_name_Hall '-P 4 2'
loop_
_atom_site_label
_atom_site_fract_x
_atom_site_fract_y
_atom_site_fract_z
_atom_site_occupancy
Mn1 0.000 0.000 0.000 1
Mo1 0.500 0.500 0.000 1
Pt1 0.000 0.000 0.500 1
Pt2 0.000 0.500 0.000 1
Pt3 0.000 0.500 0.500 1
Pt4 0.251 0.251 0.243 1
Pt5 0.500 0.500 0.500 1
```



Simulated powder XRD pattern
Compound: K4Pr3ZnO8
Radiation: λ = 1.5418 Å (Cu Kα)
Structure: a PBE-relaxed structure
No peak broadening, texture or thermal motion is included.

Main lines, low angle first (10 to 90 degrees two-theta):
hkl 0 0 1, 2θ = 13.95°, I = 1000; hkl 0 0 2, 2θ = 28.11°, I = 578; hkl 4 0 -2, 2θ = 30.09°, I = 328; hkl 2 2 0, 2θ = 30.24°, I = 638; hkl 4 0 0, 2θ = 32.85°, I = 539; hkl 2 2 -2, 2θ = 35.17°, I = 881

```
data_K4Pr3ZnO8
_chemical_formula_sum 'K8 Pr6 Zn2 O16'
_cell_length_a 12.776
_cell_length_b 7.034
_cell_length_c 7.436
_cell_angle_alpha 90.00
_cell_angle_beta 121.40
_cell_angle_gamma 90.00
_symmetry_space_group_name_H-M 'C 1 2/m 1'
_symmetry_Int_Tables_number 12
_symmetry_space_group_name_Hall '-C 2y'
loop_
_atom_site_label
_atom_site_fract_x
_atom_site_fract_y
_atom_site_fract_z
_atom_site_occupancy
K1 0.000 0.000 0.000 1
K2 0.000 0.500 0.000 1
K3 0.250 0.250 0.000 1
Pr1 0.000 0.000 0.500 1
Pr2 0.250 0.250 0.500 1
Zn1 0.000 0.500 0.500 1
O1 0.023 0.280 0.328 1
O2 0.222 0.000 0.693 1
O3 0.232 0.000 0.271 1
```



Simulated powder XRD pattern
Compound: CsLiSbI
Radiation: λ = 1.5418 Å (Cu Kα)
Structure: a PBE-relaxed structure
No peak broadening, texture or thermal motion is included.

Main lines, low angle first (10 to 90 degrees two-theta):
hkl 3 1 0, 2θ = 26.36°, I = 1000; hkl 4 0 -1, 2θ = 26.62°, I = 991; hkl 6 0 0, 2θ = 27.81°, I = 269; hkl 1 1 -1, 2θ = 32.03°, I = 679; hkl 4 2 -1, 2θ = 53.59°, I = 278; hkl 5 1 -2, 2θ = 54.02°, I = 267

```
data_CsLiSbI
_chemical_formula_sum 'Cs2 Li2 Sb2 I2'
_cell_length_a 19.631
_cell_length_b 3.978
_cell_length_c 3.926
_cell_angle_alpha 90.00
_cell_angle_beta 101.33
_cell_angle_gamma 90.00
_symmetry_space_group_name_H-M 'C 1 m 1'
_symmetry_Int_Tables_number 8
_symmetry_space_group_name_Hall 'C -2y'
loop_
_atom_site_label
_atom_site_fract_x
_atom_site_fract_y
_atom_site_fract_z
_atom_site_occupancy
Cs1 0.000 0.000 0.000 1
Li1 0.271 0.500 0.264 1
Sb1 0.154 0.500 0.651 1
I1 0.368 0.000 0.370 1
```



Simulated powder XRD pattern
Compound: Ca3BiAu14
Radiation: λ = 1.5418 Å (Cu Kα)
Structure: a PBE-relaxed structure
No peak broadening, texture or thermal motion is included.

Main lines, low angle first (10 to 90 degrees two-theta):
hkl 1 0 1, 2θ = 19.47°, I = 471; hkl 0 1 5, 2θ = 37.14°, I = 518; hkl 1 1 3, 2θ = 37.63°, I = 1000; hkl 0 2 1, 2θ = 37.87°, I = 496; hkl 2 0 2, 2θ = 39.54°, I = 859; hkl 2 0 8, 2θ = 65.97°, I = 307

```
data_Ca3BiAu14
_chemical_formula_sum 'Ca3 Bi1 Au14'
_cell_length_a 5.5678
_cell_length_b 5.5678
_cell_length_c 13.9961
_cell_angle_alpha 90.00
_cell_angle_beta 90.00
_cell_angle_gamma 120.00
_symmetry_space_group_name_H-M 'P 3 m 1'
_symmetry_Int_Tables_number 156
_symmetry_space_group_name_Hall 'P 3 -2"'
loop_
_atom_site_label
_atom_site_fract_x
_atom_site_fract_y
_atom_site_fract_z
_atom_site_occupancy
Ca1 0.0000 0.0000 0.0000 1
Ca2 0.3333 0.6667 0.6476 1
Ca3 0.6667 0.3333 0.3218 1
Bi1 0.3333 0.6667 0.9015 1
Au1 0.0000 0.0000 0.2472 1
Au2 0.0000 0.0000 0.6108 1
Au3 0.1662 0.3324 0.4460 1
Au4 0.3333 0.6667 0.2815 1
Au5 0.3343 0.1671 0.7759 1
Au6 0.5004 0.0009 0.1184 1
Au7 0.6667 0.3333 0.5675 1
Au8 0.6667 0.3333 0.9487 1
```



Simulated powder XRD pattern
Compound: PmTh3C3
Radiation: λ = 1.5418 Å (Cu Kα)
Structure: a PBE-relaxed structure
No peak broadening, texture or thermal motion is included.

Main lines, low angle first (10 to 90 degrees two-theta):
hkl 2 2 1, 2θ = 29.09°, I = 1000; hkl 0 0 2, 2θ = 33.47°, I = 207; hkl 0 4 0, 2θ = 33.78°, I = 199; hkl 4 0 0, 2θ = 33.90°, I = 199; hkl 4 0 2, 2θ = 48.33°, I = 294; hkl 2 2 3, 2θ = 57.16°, I = 160

```
data_PmTh3C3
_chemical_formula_sum 'Pm4 Th12 C12'
_cell_length_a 10.576
_cell_length_b 10.615
_cell_length_c 5.355
_cell_angle_alpha 90.00
_cell_angle_beta 90.00
_cell_angle_gamma 90.00
_symmetry_space_group_name_H-M 'C m c m'
_symmetry_Int_Tables_number 63
_symmetry_space_group_name_Hall '-C 2c 2'
loop_
_atom_site_label
_atom_site_fract_x
_atom_site_fract_y
_atom_site_fract_z
_atom_site_occupancy
Pm1 0.000 0.136 0.250 1
Th1 0.000 0.380 0.750 1
Th2 0.246 0.375 0.250 1
C1 0.000 0.379 0.250 1
C2 0.248 0.373 0.750 1
```



Simulated powder XRD pattern
Compound: Tb2TmSc6
Radiation: λ = 1.5418 Å (Cu Kα)
Structure: a PBE-relaxed structure
No peak broadening, texture or thermal motion is included.

Main lines, low angle first (10 to 90 degrees two-theta):
hkl 0 0 3, 2θ = 10.88°, I = 1000; hkl 1 0 0, 2θ = 30.46°, I = 366; hkl 1 0 2, 2θ = 31.35°, I = 343; hkl 0 0 9, 2θ = 33.06°, I = 352; hkl 1 0 4, 2θ = 33.90°, I = 514; hkl 1 0 5, 2θ = 35.70°, I = 810

```
data_Tb2TmSc6
_chemical_formula_sum 'Tb2 Tm1 Sc6'
_cell_length_a 3.3892
_cell_length_b 3.3892
_cell_length_c 24.3883
_cell_angle_alpha 90.00
_cell_angle_beta 90.00
_cell_angle_gamma 120.00
_symmetry_space_group_name_H-M 'P -6 m 2'
_symmetry_Int_Tables_number 187
_symmetry_space_group_name_Hall 'P -6 2'
loop_
_atom_site_label
_atom_site_fract_x
_atom_site_fract_y
_atom_site_fract_z
_atom_site_occupancy
Tb1 0.0000 0.0000 0.1727 1
Tm1 0.6667 0.3333 0.5000 1
Sc1 0.0000 0.0000 0.3892 1
Sc2 0.6667 0.3333 0.0616 1
Sc3 0.6667 0.3333 0.2862 1
```